(1)
Starting from a crystal structure in the Materials Project, relaxed with GGA+U, the powder X-ray diffraction pattern of Li4Si2NiO7 was simulated for Cu Kα (weighted mean of Kα1 and Kα2).
Peak positions follow from Bragg's law for the DFT cell and can differ from measured ones.

Structural model:
Lattice parameters (Å, degrees): 7.1857 7.1857 8.0200 95.11 95.11 44.66
Fractional positions:
1 Li 0.0866 0.4624 0.4251
2 Li 0.1474 0.8526 0.5000
3 Li 0.3968 0.7426 0.8513
4 Li 0.4624 0.0866 0.9251
5 Li 0.5438 0.8602 0.5718
6 Li 0.7426 0.3968 0.3513
7 Li 0.8526 0.1474 0.0000
8 Li 0.8602 0.5438 0.0718
9 Si 0.0218 0.6846 0.7796
10 Si 0.3109 0.9716 0.2067
11 Si 0.6846 0.0218 0.2796
12 Si 0.9716 0.3109 0.7067
13 Ni 0.2630 0.5854 0.1505
14 Ni 0.5854 0.2630 0.6505
15 O 0.0619 0.4382 0.8453
16 O 0.1356 0.7523 0.9324
17 O 0.1972 0.5773 0.6125
18 O 0.2333 0.9978 0.6740
19 O 0.3608 0.7422 0.3003
20 O 0.4382 0.0619 0.3453
21 O 0.4861 0.8502 0.0413
22 O 0.5773 0.1972 0.1125
23 O 0.7050 0.9448 0.7422
24 O 0.7422 0.3608 0.8003
25 O 0.7523 0.1356 0.4324
26 O 0.8502 0.4861 0.5413
27 O 0.9448 0.7050 0.2422
28 O 0.9978 0.2333 0.1740

Most intense lines, 15 to 90 degrees two-theta, sorted by position:
2θ = 20.5°, d 4.339, I 100; 2θ = 22.3°, d 3.991, I 71; 2θ = 27.0°, d 3.308, I 41; 2θ = 32.8°, d 2.730, I 38; 2θ = 33.1°, d 2.704, I 74; 2θ = 36.9°, d 2.434, I 74; 2θ = 37.8°, d 2.381, I 25; 2θ = 58.8°, d 1.571, I 39

=====

(2)
Starting from a crystal structure in the Materials Project, relaxed with GGA+U, the powder X-ray diffraction pattern of Li2Si2NiO6 was simulated for Cu Kα (weighted mean of Kα1 and Kα2).
Peak positions follow from Bragg's law for the DFT cell and can differ from measured ones.

Structural model:
Lattice parameters (Å, degrees): 5.5631 5.5700 9.4320 90.99 91.02 117.16
Fractional positions:
1 Li 0.1035 0.2592 0.1186
2 Li 0.2402 0.3974 0.3813
3 Li 0.7598 0.6026 0.6187
4 Li 0.8965 0.7408 0.8814
5 Si 0.3041 0.8603 0.1319
6 Si 0.3602 0.8042 0.6320
7 Si 0.6398 0.1958 0.3680
8 Si 0.6959 0.1397 0.8681
9 Ni 0.2422 0.2570 0.7496
10 Ni 0.7578 0.7430 0.2504
11 O 0.0097 0.2304 0.9134
12 O 0.1257 0.8661 0.6997
13 O 0.2682 0.4908 0.5865
14 O 0.3662 0.6260 0.1998
15 O 0.3853 0.1149 0.2499
16 O 0.5000 0.0000 0.0000
17 O 0.5000 0.0000 0.5000
18 O 0.6147 0.8851 0.7501
19 O 0.6338 0.3740 0.8002
20 O 0.7318 0.5092 0.4135
21 O 0.8743 0.1339 0.3003
22 O 0.9903 0.7696 0.0866

Most intense lines, 15 to 90 degrees two-theta, sorted by position:
2θ = 17.9°, d 4.951, I 37; 2θ = 18.8°, d 4.713, I 81; 2θ = 20.5°, d 4.332, I 100; 2θ = 25.7°, d 3.464, I 72; 2θ = 26.5°, d 3.366, I 59; 2θ = 26.6°, d 3.346, I 51; 2θ = 33.5°, d 2.678, I 58; 2θ = 41.7°, d 2.166, I 49

=====

(3)
Starting from a crystal structure in the Materials Project, relaxed with GGA+U, the powder X-ray diffraction pattern of Li2Si2NiO6 was simulated for Cu Kα (weighted mean of Kα1 and Kα2).
Peak positions follow from Bragg's law for the DFT cell and can differ from measured ones.

Structural model:
Lattice parameters (Å, degrees): 5.1231 5.1276 10.4075 104.12 103.98 90.72
Fractional positions:
1 Li 0.0000 0.0000 0.0000
2 Li 0.0830 0.5920 0.1685
3 Li 0.3804 0.2873 0.6686
4 Li 0.8041 0.2020 0.4998
5 Si 0.1520 0.7161 0.4956
6 Si 0.5146 0.3582 0.0008
7 Si 0.6023 0.9441 0.1728
8 Si 0.7376 0.8012 0.6677
9 Ni 0.1971 0.1505 0.3347
10 Ni 0.9359 0.3896 0.8340
11 O 0.1139 0.5210 0.3435
12 O 0.1566 0.0362 0.5009
13 O 0.3186 0.3303 0.8499
14 O 0.4252 0.1112 0.0647
15 O 0.4271 0.6469 0.6039
16 O 0.4495 0.6336 0.1096
17 O 0.5584 0.0575 0.3248
18 O 0.7323 0.1174 0.6632
19 O 0.8356 0.3578 0.0049
20 O 0.8608 0.7568 0.8188
21 O 0.9045 0.6266 0.5590
22 O 0.9175 0.9441 0.1677

Most intense lines, 15 to 90 degrees two-theta, sorted by position:
2θ = 17.9°, d 4.957, I 12; 2θ = 22.1°, d 4.027, I 100; 2θ = 26.4°, d 3.379, I 8; 2θ = 28.7°, d 3.107, I 13; 2θ = 35.0°, d 2.562, I 31; 2θ = 36.7°, d 2.451, I 9; 2θ = 37.2°, d 2.415, I 16; 2θ = 39.4°, d 2.288, I 11